Starting from the PBE geometry in Alexandria, the powder X-ray diffraction pattern of Cs2TeSe3 was simulated for λ = 1.5418 Å (Cu Kα).
Kinematic intensities with the Lorentz-polarization factor, no thermal factor.

Principal peaks in the range 2θ from 15° to 90°, sorted by position:
2θ 15.46, d = 5.733 Å, I 280; 2θ 15.74, d = 5.629 Å, I 641; 2θ 19.34, d = 4.590 Å, I 906; 2θ 22.78, d = 3.904 Å, I 521; 2θ 23.97, d = 3.712 Å, I 764; 2θ 28.81, d = 3.099 Å, I 300; 2θ 29.71, d = 3.007 Å, I 1000; 2θ 30.98, d = 2.886 Å, I 353; 2θ 35.73, d = 2.513 Å, I 267; 2θ 38.53, d = 2.337 Å, I 720

abc: 9.409 9.409 7.425
angles: 90.00 90.00 73.49
Fractional coordinates of all 12 atoms:
Cs 0.000 0.319 0.000
Cs 0.000 0.681 0.500
Cs 0.319 0.000 0.500
Cs 0.681 0.000 0.000
Te 0.302 0.698 0.033
Te 0.698 0.302 0.533
Se 0.032 0.700 0.005
Se 0.300 0.968 0.005
Se 0.379 0.621 0.350
Se 0.621 0.379 0.850
Se 0.700 0.032 0.505
Se 0.968 0.300 0.505